This entry pairs a crystal structure of Ce2PmThSb5 with its computed PXRD pattern. Radiation: copper Kα. Structure: DFT lattice parameters and positions (GGA-PBE).
Lines closer than 0.1° are merged.

Crystal structure
Lattice parameters (Å, degrees): 5.3819 5.3819 11.8291 90.00 90.00 90.00
Space group P4/mmm (No. 123)
Symmetry-distinct sites (fractional):
Ce: 0.0000 0.0000 0.1948 (multiplicity 2)
Pm: 0.5000 0.5000 0.0000 (multiplicity 1)
Th: 0.5000 0.5000 0.5000 (multiplicity 1)
Sb: 0.0000 0.0000 0.5000 (multiplicity 1)
Sb: 0.0000 0.5000 0.0000 (multiplicity 2)
Sb: 0.5000 0.5000 0.2514 (multiplicity 2)

Top 10 peaks for 2θ = 10–90°, sorted by position:
2θ/deg	intensity
23.38	93
24.57	33
30.22	43
32.70	60
33.30	100
34.61	22
38.56	25
45.58	56
47.80	36
57.60	28

This entry pairs a crystal structure of PmHo2ErS6 with its computed PXRD pattern. Radiation: copper Kα. Structure: DFT lattice parameters and positions (GGA-PBE).
Lines closer than 0.1° are merged.

Crystal structure
Lattice parameters (Å, degrees): 6.9330 6.9330 18.5088 90.00 90.00 120.00
Space group R3 (No. 146, hexagonal axes)
Symmetry-distinct sites (fractional):
Pm: 0.0000 0.0000 0.0000 (multiplicity 3)
Ho: 0.0000 0.0000 0.2939 (multiplicity 3)
Ho: 0.0000 0.0000 0.7969 (multiplicity 3)
Er: 0.0000 0.0000 0.4951 (multiplicity 3)
S: 0.0010 0.3052 0.8939 (multiplicity 9)
S: 0.0157 0.7127 0.3949 (multiplicity 9)

Top 10 peaks for 2θ = 10–90°, sorted by position:
2θ/deg	intensity
17.61	40
24.28	98
25.70	100
35.65	47
39.09	80
44.46	47
45.31	48
51.68	25
61.35	20
65.02	20

This entry pairs a crystal structure of Fe2Ni3Ir5 with its computed PXRD pattern. Radiation: copper Kα. Structure: DFT lattice parameters and positions (GGA-PBE).
Lines closer than 0.1° are merged.

Crystal structure
Lattice parameters (Å, degrees): 8.3592 3.6849 8.4571 90.00 91.05 90.00
Space group C2/m (No. 12)
Symmetry-distinct sites (fractional):
Fe: 0.1955 0.0000 0.3978 (multiplicity 4)
Ni: 0.0000 0.0000 0.0000 (multiplicity 2)
Ni: 0.1053 0.0000 0.6925 (multiplicity 4)
Ir: 0.0000 0.5000 0.5000 (multiplicity 2)
Ir: 0.0969 0.5000 0.2040 (multiplicity 4)
Ir: 0.2010 0.5000 0.8951 (multiplicity 4)

Top 10 peaks for 2θ = 10–90°, sorted by position:
2θ/deg	intensity
10.46	16
23.92	21
26.43	34
41.61	100
42.20	97
48.23	32
48.62	32
49.47	30
71.58	20
71.89	20

This entry pairs a crystal structure of TbCeN with its computed PXRD pattern. Radiation: copper Kα. Structure: DFT lattice parameters and positions (GGA-PBE).
Lines closer than 0.1° are merged.

Crystal structure
Lattice parameters (Å, degrees): 3.5330 3.5330 4.8840 90.00 90.00 90.00
Space group P4/mmm (No. 123)
Symmetry-distinct sites (fractional):
Tb: 0.0000 0.0000 0.0000 (multiplicity 1)
Ce: 0.5000 0.5000 0.5000 (multiplicity 1)
N: 0.5000 0.5000 0.0000 (multiplicity 1)

Top 10 peaks for 2θ = 10–90°, sorted by position:
2θ/deg	intensity
31.25	100
35.95	41
36.81	19
51.75	14
52.39	28
61.70	29
62.85	14
65.18	14
85.68	12
87.27	7

This entry pairs a crystal structure of YTh4Tc2 with its computed PXRD pattern. Radiation: copper Kα. Structure: DFT lattice parameters and positions (GGA-PBE).
Lines closer than 0.1° are merged.

Crystal structure
Lattice parameters (Å, degrees): 7.8996 6.6510 7.9114 90.00 112.09 90.00
Space group P2_1/m (No. 11)
Symmetry-distinct sites (fractional):
Y: 0.1651 0.2500 0.0261 (multiplicity 2)
Th: 0.0249 0.2500 0.3834 (multiplicity 2)
Th: 0.2301 0.7500 0.3163 (multiplicity 2)
Th: 0.4038 0.0019 0.7556 (multiplicity 4)
Tc: 0.2478 0.7500 0.9849 (multiplicity 2)
Tc: 0.3788 0.2500 0.4261 (multiplicity 2)

Top 10 peaks for 2θ = 10–90°, sorted by position:
2θ/deg	intensity
29.50	83
30.13	45
30.40	45
31.14	85
33.74	49
34.05	100
35.40	93
36.49	52
36.73	44
57.43	62

This entry pairs a crystal structure of BaLa3F with its computed PXRD pattern. Radiation: copper Kα. Structure: DFT lattice parameters and positions (GGA-PBE).
Lines closer than 0.1° are merged.

Crystal structure
Lattice parameters (Å, degrees): 5.4333 5.4333 5.4333 90.00 90.00 90.00
Space group Pm-3m (No. 221)
Symmetry-distinct sites (fractional):
Ba: 0.0000 0.0000 0.0000 (multiplicity 1)
La: 0.0000 0.5000 0.5000 (multiplicity 3)
F: 0.5000 0.5000 0.5000 (multiplicity 1)

Top 10 peaks for 2θ = 10–90°, sorted by position:
2θ/deg	intensity
16.31	1
28.45	100
32.97	59
47.32	43
56.14	45
58.88	15
69.16	7
76.41	18
78.77	19
88.07	15

This entry pairs a crystal structure of Pr2NdHg4 with its computed PXRD pattern. Radiation: copper Kα. Structure: DFT lattice parameters and positions (GGA-PBE).
Lines closer than 0.1° are merged.

Crystal structure
Lattice parameters (Å, degrees): 5.2529 5.2529 27.1617 90.00 90.00 120.00
Space group R-3m (No. 166, hexagonal axes)
Symmetry-distinct sites (fractional):
Pr: 0.0000 0.0000 0.2432 (multiplicity 6)
Nd: 0.0000 0.0000 0.0000 (multiplicity 3)
Hg: 0.0000 0.0000 0.1264 (multiplicity 6)
Hg: 0.0000 0.0000 0.3743 (multiplicity 6)

Top 10 peaks for 2θ = 10–90°, sorted by position:
2θ/deg	intensity
23.54	22
32.92	100
34.14	94
48.15	35
57.99	19
60.34	36
61.11	18
69.03	11
79.31	15
81.36	16

This entry pairs a crystal structure of KSb with its computed PXRD pattern. Radiation: copper Kα. Structure: DFT lattice parameters and positions (GGA-PBE).
Lines closer than 0.1° are merged.

Crystal structure
Lattice parameters (Å, degrees): 7.1296 7.2190 12.5584 90.00 90.00 90.00
Space group P2_12_12_1 (No. 19)
Symmetry-distinct sites (fractional):
K: 0.0975 0.0961 0.0796 (multiplicity 4)
K: 0.1656 0.3539 0.7052 (multiplicity 4)
Sb: 0.0942 0.5447 0.9618 (multiplicity 4)
Sb: 0.1678 0.1682 0.3758 (multiplicity 4)

Top 10 peaks for 2θ = 10–90°, sorted by position:
2θ/deg	intensity
14.14	93
18.86	100
25.68	22
27.65	62
28.82	33
31.07	27
33.00	30
33.57	20
35.34	32
36.13	33

This entry pairs a crystal structure of Li7Nd3Pt4 with its computed PXRD pattern. Radiation: copper Kα. Structure: DFT lattice parameters and positions (GGA-PBE).
Lines closer than 0.1° are merged.

Crystal structure
Lattice parameters (Å, degrees): 15.9039 4.1793 10.1261 90.00 125.98 90.00
Space group C2/m (No. 12)
Symmetry-distinct sites (fractional):
Li: 0.0000 0.0000 0.0000 (multiplicity 2)
Li: 0.0170 0.5000 0.8018 (multiplicity 4)
Li: 0.1678 0.0000 0.9304 (multiplicity 4)
Li: 0.1705 0.5000 0.5017 (multiplicity 4)
Nd: 0.0000 0.0000 0.5000 (multiplicity 2)
Nd: 0.2056 0.5000 0.2384 (multiplicity 4)
Pt: 0.1081 0.0000 0.3203 (multiplicity 4)
Pt: 0.1577 0.5000 0.7493 (multiplicity 4)

Top 10 peaks for 2θ = 10–90°, sorted by position:
2θ/deg	intensity
10.80	66
21.69	100
26.64	58
27.20	50
28.83	54
29.85	51
34.18	81
35.50	79
42.01	71
43.30	45

This entry pairs a crystal structure of Ba8Nb7O24 with its computed PXRD pattern. Radiation: copper Kα. Structure: DFT lattice parameters and positions (GGA-PBE).
Lines closer than 0.1° are merged.

Crystal structure
Lattice parameters (Å, degrees): 5.9343 5.9343 19.2953 90.00 90.00 120.00
Space group P3m1 (No. 156)
Symmetry-distinct sites (fractional):
Ba: 0.0000 0.0000 0.0000 (multiplicity 1)
Ba: 0.0000 0.0000 0.2226 (multiplicity 1)
Ba: 0.0000 0.0000 0.6204 (multiplicity 1)
Ba: 0.3333 0.6667 0.3590 (multiplicity 1)
Ba: 0.3333 0.6667 0.8733 (multiplicity 1)
Ba: 0.6667 0.3333 0.1233 (multiplicity 1)
Ba: 0.6667 0.3333 0.5045 (multiplicity 1)
Ba: 0.6667 0.3333 0.7365 (multiplicity 1)
Nb: 0.0000 0.0000 0.4312 (multiplicity 1)
Nb: 0.0000 0.0000 0.8091 (multiplicity 1)
Nb: 0.3333 0.6667 0.0656 (multiplicity 1)
Nb: 0.3333 0.6667 0.5550 (multiplicity 1)
Nb: 0.3333 0.6667 0.6897 (multiplicity 1)
Nb: 0.6667 0.3333 0.3046 (multiplicity 1)
Nb: 0.6667 0.3333 0.9322 (multiplicity 1)
O: 0.0107 0.5054 0.6224 (multiplicity 3)
O: 0.1636 0.3271 0.4993 (multiplicity 3)
O: 0.1644 0.3288 0.7482 (multiplicity 3)
O: 0.1700 0.3401 0.1097 (multiplicity 3)
O: 0.3290 0.1645 0.3804 (multiplicity 3)
O: 0.3349 0.1674 0.8686 (multiplicity 3)
O: 0.5030 0.0060 0.9893 (multiplicity 3)
O: 0.5094 0.0189 0.2556 (multiplicity 3)

Top 10 peaks for 2θ = 10–90°, sorted by position:
2θ/deg	intensity
25.32	17
28.93	71
30.12	100
32.85	20
42.25	40
45.17	15
52.76	27
53.49	20
55.28	13
62.62	20

This entry pairs a crystal structure of Rb4In3Hg16 with its computed PXRD pattern. Radiation: copper Kα. Structure: DFT lattice parameters and positions (GGA-PBE).
Lines closer than 0.1° are merged.

Crystal structure
Lattice parameters (Å, degrees): 7.5135 7.5135 13.2870 90.00 90.00 90.00
Space group P4/mmm (No. 123)
Symmetry-distinct sites (fractional):
Rb: 0.0000 0.5000 0.1885 (multiplicity 4)
In: 0.0000 0.0000 0.0000 (multiplicity 1)
In: 0.0000 0.5000 0.5000 (multiplicity 2)
Hg: 0.0000 0.0000 0.2428 (multiplicity 2)
Hg: 0.2517 0.2517 0.3763 (multiplicity 8)
Hg: 0.2945 0.2945 0.0000 (multiplicity 4)
Hg: 0.5000 0.5000 0.2369 (multiplicity 2)

Top 10 peaks for 2θ = 10–90°, sorted by position:
2θ/deg	intensity
20.05	18
27.27	41
31.22	84
33.74	100
36.09	43
41.63	14
48.46	48
58.78	20
61.89	25
66.38	15

This entry pairs a crystal structure of Ru4Pt2W3 with its computed PXRD pattern. Radiation: copper Kα. Structure: DFT lattice parameters and positions (GGA-PBE).
Lines closer than 0.1° are merged.

Crystal structure
Lattice parameters (Å, degrees): 2.7411 8.2275 12.2048 90.00 90.00 90.00
Space group Immm (No. 71)
Symmetry-distinct sites (fractional):
Ru: 0.0000 0.1621 0.1842 (multiplicity 8)
Pt: 0.0000 0.1874 0.5000 (multiplicity 4)
W: 0.0000 0.0000 0.0000 (multiplicity 2)
W: 0.0000 0.5000 0.1615 (multiplicity 4)

Top 10 peaks for 2θ = 10–90°, sorted by position:
2θ/deg	intensity
37.60	11
39.64	100
40.22	24
44.54	22
45.85	15
46.86	22
66.64	12
68.44	13
82.10	22
85.40	12